For Ti13Pb3, DFT lattice parameters and positions (PBE) gives the calculated powder X-ray diffraction pattern in this record (Cu Kα (λ = 1.5418 Å)).

Cell and atoms:
```
data_Ti13Pb3
_chemical_formula_sum 'Ti13 Pb3'
_space_group_name_H-M_alt 'P m m 2'
_space_group_IT_number 25
_cell_length_a 4.792
_cell_length_b 5.990
_cell_length_c 10.314
_cell_angle_alpha 90.00
_cell_angle_beta 90.00
_cell_angle_gamma 90.00
loop_
_space_group_symop_operation_xyz
'x,y,z'
'-x,-y,z'
'-x,y,z'
'x,-y,z'
loop_
_atom_site_label
_atom_site_fract_x
_atom_site_fract_y
_atom_site_fract_z
Ti1 0.000 0.000 0.000
Ti2 0.000 0.000 0.511
Ti3 0.000 0.232 0.751
Ti4 0.000 0.253 0.270
Ti5 0.000 0.500 0.504
Ti6 0.500 0.000 0.673
Ti7 0.500 0.241 0.924
Ti8 0.500 0.246 0.427
Ti9 0.500 0.500 0.185
Pb1 0.000 0.500 0.007
Pb2 0.500 0.000 0.174
Pb3 0.500 0.500 0.678
```

Main lines, in order of rising 2θ (2θ = 10–90°):
index  Position (°2θ)  intensity
0 1 1  17.14  31
1 0 2  25.34  75
0 1 3  29.97  20
0 2 2  34.64  24
2 0 0  37.54  38
1 2 2  39.56  100
1 0 4  39.70  47
3 2 2  69.09  19